# 1
For LuGeHO4, a structure optimized by DFT (GGA-PBE) gives the computed X-ray diffraction stick pattern in this record (Cu Kα, 1.54184 Å).
Kinematic intensities with the Lorentz-polarization factor, no thermal factor.

Unit cell a=5.1093 b=11.3439 c=4.7312 alpha=90.00 beta=90.00 gamma=90.00
Fractional positions:
Lu: 0.0000 0.1182 0.2500
Lu: 0.0000 0.8818 0.7500
Lu: 0.5000 0.3818 0.7500
Lu: 0.5000 0.6182 0.2500
Ge: 0.0000 0.3935 0.2500
Ge: 0.0000 0.6065 0.7500
Ge: 0.5000 0.1065 0.7500
Ge: 0.5000 0.8935 0.2500
H: 0.0000 0.2966 0.7500
H: 0.0000 0.7034 0.2500
H: 0.5000 0.2034 0.2500
H: 0.5000 0.7966 0.7500
O: 0.1256 0.2958 0.5257
O: 0.1256 0.7042 0.0257
O: 0.2353 0.0399 0.5821
O: 0.2353 0.9601 0.0821
O: 0.2647 0.4601 0.0821
O: 0.2647 0.5399 0.5821
O: 0.3744 0.2042 0.0257
O: 0.3744 0.7958 0.5257
O: 0.6256 0.2042 0.4743
O: 0.6256 0.7958 0.9743
O: 0.7353 0.4601 0.4179
O: 0.7353 0.5399 0.9179
O: 0.7647 0.0399 0.9179
O: 0.7647 0.9601 0.4179
O: 0.8744 0.2958 0.9743
O: 0.8744 0.7042 0.4743

Principal peaks in the range 2θ from 10° to 90°, low angle first:
| d [Å] | intensity |
| --- | --- |
| 3.633 | 20 |
| 3.319 | 91 |
| 2.836 | 25 |
| 2.557 | 100 |
| 1.898 | 34 |
| 1.817 | 22 |
| 1.736 | 20 |
| 1.480 | 18 |

=====

# 2
For YMgSi2Pt4, a structure optimized by DFT (GGA-PBE) gives the computed X-ray diffraction stick pattern in this record (Cu Kα, 1.54184 Å).
Kinematic intensities with the Lorentz-polarization factor, no thermal factor.

Unit cell a=7.0713 b=5.4143 c=5.4143 alpha=40.33 beta=90.00 gamma=90.00
Fractional positions:
Y: 0.0000 0.0000 0.0000
Mg: 0.5000 0.0927 0.0927
Si: 0.0000 0.2816 0.2816
Si: 0.5000 0.8175 0.8175
Pt: 0.2053 0.6928 0.6928
Pt: 0.3026 0.4101 0.4101
Pt: 0.6974 0.4101 0.4101
Pt: 0.7947 0.6928 0.6928

Principal peaks in the range 2θ from 10° to 90°, low angle first:
| d [Å] | intensity |
| --- | --- |
| 3.536 | 46 |
| 3.504 | 59 |
| 2.509 | 100 |
| 2.489 | 95 |
| 2.138 | 50 |
| 2.064 | 47 |
| 2.046 | 54 |
| 1.956 | 44 |

=====

Copy entry 2 word for word.
For YMgSi2Pt4, a structure optimized by DFT (GGA-PBE) gives the computed X-ray diffraction stick pattern in this record (Cu Kα, 1.54184 Å).
Kinematic intensities with the Lorentz-polarization factor, no thermal factor.

Unit cell a=7.0713 b=5.4143 c=5.4143 alpha=40.33 beta=90.00 gamma=90.00
Fractional positions:
Y: 0.0000 0.0000 0.0000
Mg: 0.5000 0.0927 0.0927
Si: 0.0000 0.2816 0.2816
Si: 0.5000 0.8175 0.8175
Pt: 0.2053 0.6928 0.6928
Pt: 0.3026 0.4101 0.4101
Pt: 0.6974 0.4101 0.4101
Pt: 0.7947 0.6928 0.6928

Principal peaks in the range 2θ from 10° to 90°, low angle first:
| d [Å] | intensity |
| --- | --- |
| 3.536 | 46 |
| 3.504 | 59 |
| 2.509 | 100 |
| 2.489 | 95 |
| 2.138 | 50 |
| 2.064 | 47 |
| 2.046 | 54 |
| 1.956 | 44 |